Entry 1:
Calculated powder X-ray diffraction pattern of Tb7Nd12Cd for Cu Kα (weighted mean of Kα1 and Kα2), from a crystal structure in Alexandria, relaxed with PBE.
Peak positions follow from Bragg's law for the DFT cell and can differ from measured ones.

Peak list (12 most intense, 2θ from 10° to 80°, sorted by position)
2θ 29.18, I 53; 2θ 30.92, I 69; 2θ 31.18, I 84; 2θ 31.35, I 100; 2θ 33.71, I 38; 2θ 34.10, I 22; 2θ 36.28, I 17; 2θ 49.01, I 26; 2θ 54.25, I 18; 2θ 55.85, I 30; 2θ 56.90, I 21; 2θ 60.35, I 12

```
Tb7Nd12Cd
1.0
6.764 3.905 4.227
-6.764 3.905 4.227
0.000 -7.810 4.227
Tb Nd Cd
7 12 1
Direct
0.000 0.000 0.000
0.172 0.589 0.589
0.411 0.411 0.828
0.411 0.828 0.411
0.589 0.172 0.589
0.589 0.589 0.172
0.828 0.411 0.411
0.000 0.261 0.739
0.000 0.739 0.261
0.149 0.149 0.414
0.149 0.414 0.149
0.261 0.000 0.739
0.261 0.739 0.000
0.414 0.149 0.149
0.586 0.851 0.851
0.739 0.000 0.261
0.739 0.261 0.000
0.851 0.586 0.851
0.851 0.851 0.586
0.500 0.500 0.500
```

Entry 2:
Calculated powder X-ray diffraction pattern of NbGePt6 for Cu Kα (weighted mean of Kα1 and Kα2), from a crystal structure in Alexandria, relaxed with PBE.
Peak positions follow from Bragg's law for the DFT cell and can differ from measured ones.

Peak list (12 most intense, 2θ from 10° to 80°, sorted by position)
2θ 15.61, I 10; 2θ 27.17, I 7; 2θ 38.83, I 100; 2θ 39.34, I 97; 2θ 45.07, I 33; 2θ 45.63, I 64; 2θ 65.80, I 11; 2θ 66.07, I 43; 2θ 67.22, I 10; 2θ 78.95, I 13; 2θ 79.29, I 13; 2θ 79.44, I 25

```
NbGePt6
1.0
0.000 4.023 5.677
2.785 0.000 5.677
2.785 4.023 0.000
Nb Ge Pt
1 1 6
Direct
0.000 0.000 0.000
0.500 0.500 0.500
0.123 0.123 0.377
0.244 0.244 0.756
0.377 0.377 0.123
0.623 0.623 0.877
0.756 0.756 0.244
0.877 0.877 0.623
```